Starting from a PBE-relaxed structure, the X-ray powder pattern of Li3InAg7 was simulated for Cu Kα (λ = 1.5418 Å).
Neutral-atom scattering factors, no anomalous dispersion.

Peak list (10 most intense, 2θ from 10° to 90°, by angle)
d_spacing  I_rel  (hkl)
3.869  40  2 0 -1
3.495  74  0 2 1
3.051  55  2 2 0
2.606  60  2 0 -2
2.529  60  3 1 0
2.420  88  0 4 0
2.333  77  2 2 1
2.239  100  0 2 2
1.936  37  4 2 -1
1.773  33  2 4 -2

Structure:
```
data_Li3InAg7
_chemical_formula_sum 'Li6 In2 Ag14'
_symmetry_space_group_name_H-M 'C 1 2/m 1'
_symmetry_Int_Tables_number 12
_cell_length_a 8.454
_cell_length_b 9.681
_cell_length_c 5.435
_cell_angle_alpha 90.00
_cell_angle_beta 111.62
_cell_angle_gamma 90.00
loop_
_symmetry_equiv_pos_as_xyz
'x,y,z'
'-x,-y,-z'
'-x,y,-z'
'x,-y,z'
'x+1/2,y+1/2,z'
'-x+1/2,-y+1/2,-z'
'-x+1/2,y+1/2,-z'
'x+1/2,-y+1/2,z'
loop_
_atom_site_label
_atom_site_fract_x
_atom_site_fract_y
_atom_site_fract_z
_atom_site_occupancy
Li1 0.000 0.000 0.000 1
Li2 0.000 0.231 0.500 1
In1 0.000 0.500 0.000 1
Ag1 0.000 0.500 0.500 1
Ag2 0.178 0.000 0.543 1
Ag3 0.178 0.235 0.194 1
```



Starting from a PBE-relaxed structure, the X-ray powder pattern of Li2HfUTe4 was simulated for Cu Kα (λ = 1.5418 Å).
Neutral-atom scattering factors, no anomalous dispersion.

Peak list (10 most intense, 2θ from 10° to 90°, by angle)
d_spacing  I_rel  (hkl)
7.218  45  0 0 1
3.534  29  2 0 -1
2.987  100  1 1 1
2.752  11  1 1 -2
2.171  13  2 0 2
2.154  27  1 1 -3
2.071  23  3 1 -1
2.062  12  0 2 0
1.696  13  2 2 -2
1.208  8  1 3 -3

Structure:
```
data_Li2HfUTe4
_chemical_formula_sum 'Li2 Hf1 U1 Te4'
_symmetry_space_group_name_H-M 'P 1 2/m 1'
_symmetry_Int_Tables_number 10
_cell_length_a 7.184
_cell_length_b 4.124
_cell_length_c 7.585
_cell_angle_alpha 90.00
_cell_angle_beta 107.90
_cell_angle_gamma 90.00
loop_
_symmetry_equiv_pos_as_xyz
'x,y,z'
'-x,-y,-z'
'-x,y,-z'
'x,-y,z'
loop_
_atom_site_label
_atom_site_fract_x
_atom_site_fract_y
_atom_site_fract_z
_atom_site_occupancy
Li1 0.000 0.000 0.000 1
Li2 0.500 0.500 0.000 1
Hf1 0.000 0.500 0.500 1
U1 0.500 0.000 0.500 1
Te1 0.232 0.500 0.240 1
Te2 0.235 0.000 0.749 1
```